Zr4Si3Sb5: theoretical X-ray powder pattern (Cu Kα, 1.54184 Å), based on a DFT-relaxed cell (GGA-PBE, Alexandria).
Neutral-atom scattering factors, no anomalous dispersion.

Top 8 peaks for 2θ from 10° to 80°, low angle first:
2θ/deg  d/Å  intensity
31.0  2.880  72
32.9  2.723  55
34.5  2.598  75
38.9  2.313  100
39.0  2.307  40
47.2  1.926  53
57.6  1.601  34
62.8  1.480  47

Structure:
```
data_Zr4Si3Sb5
_chemical_formula_sum 'Zr4 Si3 Sb5'
_cell_length_a 3.8513
_cell_length_b 3.8513
_cell_length_c 17.3578
_cell_angle_alpha 90.00
_cell_angle_beta 90.00
_cell_angle_gamma 90.00
_symmetry_space_group_name_H-M 'P -4 m 2'
_symmetry_Int_Tables_number 115
_symmetry_space_group_name_Hall 'P -4 -2'
loop_
_atom_site_label
_atom_site_fract_x
_atom_site_fract_y
_atom_site_fract_z
_atom_site_occupancy
Zr1 0.0000 0.5000 0.1210 1
Zr2 0.0000 0.5000 0.6280 1
Si1 0.0000 0.0000 0.0000 1
Si2 0.0000 0.0000 0.5000 1
Si3 0.5000 0.5000 0.0000 1
Sb1 0.0000 0.5000 0.3015 1
Sb2 0.0000 0.5000 0.8106 1
Sb3 0.5000 0.5000 0.5000 1
```

=====

Dy5Y12Er2: theoretical X-ray powder pattern (Cu Kα, 1.54184 Å), based on a DFT-relaxed cell (GGA-PBE, Alexandria).
Neutral-atom scattering factors, no anomalous dispersion.

Top 8 peaks for 2θ from 10° to 80°, low angle first:
2θ/deg  d/Å  intensity
30.8  2.903  100
35.7  2.516  34
35.8  2.509  17
51.4  1.778  23
61.0  1.518  7
61.1  1.517  17
61.2  1.515  14
64.1  1.452  9

Structure:
```
data_Dy5Y12Er2
_chemical_formula_sum 'Dy5 Y12 Er2'
_cell_length_a 6.1613
_cell_length_b 9.3937
_cell_length_c 10.6801
_cell_angle_alpha 78.96
_cell_angle_beta 84.43
_cell_angle_gamma 89.99
_symmetry_space_group_name_H-M 'P -1'
_symmetry_Int_Tables_number 2
_symmetry_space_group_name_Hall '-P 1'
loop_
_atom_site_label
_atom_site_fract_x
_atom_site_fract_y
_atom_site_fract_z
_atom_site_occupancy
Dy1 0.0000 0.0000 0.0000 1
Dy2 0.1571 0.6321 0.0521 1
Dy3 0.4223 0.6850 0.4740 1
Y1 0.0512 0.2095 0.6838 1
Y2 0.1066 0.4209 0.3689 1
Y3 0.2108 0.8426 0.7358 1
Y4 0.3150 0.2632 0.1055 1
Y5 0.3679 0.4738 0.7891 1
Y6 0.4727 0.8946 0.1583 1
Er1 0.2638 0.0519 0.4221 1
```